Entry 1:
Simulated XRD peak list
Compound: CdHg2BiPb
Radiation: Cu Kα (λ = 1.5418 Å)
Structure: a crystal structure in Alexandria, relaxed with GGA-PBE
No peak broadening, texture or thermal motion is included.

Main lines, in order of falling intensity (5 to 70 degrees two-theta):
(hkl)  d (Å)  I/Imax
2 0 2  2.798  100
2 1 -2  2.501  51
1 1 1  2.890  51
1 1 -2  2.754  33
2 0 -3  2.972  29
2 2 2  1.445  28
1 0 -4  2.482  26
0 1 4  1.947  21
2 1 1  2.436  20
0 1 1  3.181  18

Structural model:
```
data_CdHg2BiPb
_chemical_formula_sum 'Cd2 Hg4 Bi2 Pb2'
_cell_length_a 8.817
_cell_length_b 3.375
_cell_length_c 9.929
_cell_angle_alpha 90.00
_cell_angle_beta 106.26
_cell_angle_gamma 90.00
_space_group_name_H-M_alt 'P 1 21/m 1'
_space_group_IT_number 11
loop_
_space_group_symop_operation_xyz
'x,y,z'
'-x,-y,-z'
'-x,y+1/2,-z'
'x,-y+1/2,z'
loop_
_atom_site_label
_atom_site_fract_x
_atom_site_fract_y
_atom_site_fract_z
_atom_site_occupancy
Cd1 0.212 0.250 0.494 1
Hg1 0.044 0.250 0.716 1
Hg2 0.430 0.750 0.355 1
Bi1 0.169 0.750 0.073 1
Pb1 0.384 0.750 0.850 1
```



Entry 2:
Simulated XRD peak list
Compound: Cd2HgBi2Pb4
Radiation: Cu Kα (λ = 1.5418 Å)
Structure: a crystal structure in Alexandria, relaxed with GGA-PBE
No peak broadening, texture or thermal motion is included.

Main lines, in order of falling intensity (5 to 70 degrees two-theta):
(hkl)  d (Å)  I/Imax
2 0 0  2.837  100
-2 1 2  2.758  58
1 -2 0  3.218  53
0 1 2  2.728  52
1 2 0  2.501  33
1 1 -2  3.111  28
1 0 1  3.568  25
0 0 2  3.244  24
1 -2 1  2.784  24
1 2 -1  2.630  24

Structural model:
```
data_Cd2HgBi2Pb4
_chemical_formula_sum 'Cd2 Hg1 Bi2 Pb4'
_cell_length_a 6.518
_cell_length_b 6.709
_cell_length_c 7.228
_cell_angle_alpha 92.02
_cell_angle_beta 114.63
_cell_angle_gamma 104.32
_space_group_name_H-M_alt 'P -1'
_space_group_IT_number 2
loop_
_space_group_symop_operation_xyz
'x,y,z'
'-x,-y,-z'
loop_
_atom_site_label
_atom_site_fract_x
_atom_site_fract_y
_atom_site_fract_z
_atom_site_occupancy
Cd1 0.016 0.330 0.126 1
Hg1 0.000 0.500 0.500 1
Bi1 0.481 0.736 0.280 1
Pb1 0.053 0.918 0.303 1
Pb2 0.493 0.220 0.168 1
```



Entry 3:
Simulated XRD peak list
Compound: Cd3Hg3Bi2Pb2
Radiation: Cu Kα (λ = 1.5418 Å)
Structure: a crystal structure in Alexandria, relaxed with GGA-PBE
No peak broadening, texture or thermal motion is included.

Main lines, in order of falling intensity (5 to 70 degrees two-theta):
(hkl)  d (Å)  I/Imax
2 0 0  2.286  100
1 1 0  3.234  41
1 0 5  3.732  36
1 1 4  3.002  34
1 1 2  3.171  33
1 1 6  2.772  27
1 0 9  2.822  22
0 0 2  16.139  20
1 0 11  2.470  18
2 2 0  1.617  18

Structural model:
```
data_Cd3Hg3Bi2Pb2
_chemical_formula_sum 'Cd6 Hg6 Bi4 Pb4'
_cell_length_a 4.574
_cell_length_b 4.574
_cell_length_c 32.278
_cell_angle_alpha 90.00
_cell_angle_beta 90.00
_cell_angle_gamma 90.00
_space_group_name_H-M_alt 'I 4/m m m'
_space_group_IT_number 139
_space_group_name_Hall '-I 4 2'
loop_
_atom_site_label
_atom_site_fract_x
_atom_site_fract_y
_atom_site_fract_z
_atom_site_occupancy
Cd1 0.000 0.000 0.000 1
Cd2 0.000 0.000 0.414 1
Hg1 0.000 0.000 0.112 1
Hg2 0.000 0.000 0.500 1
Bi1 0.000 0.000 0.323 1
Pb1 0.000 0.500 0.250 1
```



What did the second record say?
Simulated XRD peak list
Compound: Cd2HgBi2Pb4
Radiation: Cu Kα (λ = 1.5418 Å)
Structure: a crystal structure in Alexandria, relaxed with GGA-PBE
No peak broadening, texture or thermal motion is included.

Main lines, in order of falling intensity (5 to 70 degrees two-theta):
(hkl)  d (Å)  I/Imax
2 0 0  2.837  100
-2 1 2  2.758  58
1 -2 0  3.218  53
0 1 2  2.728  52
1 2 0  2.501  33
1 1 -2  3.111  28
1 0 1  3.568  25
0 0 2  3.244  24
1 -2 1  2.784  24
1 2 -1  2.630  24

Structural model:
```
data_Cd2HgBi2Pb4
_chemical_formula_sum 'Cd2 Hg1 Bi2 Pb4'
_cell_length_a 6.518
_cell_length_b 6.709
_cell_length_c 7.228
_cell_angle_alpha 92.02
_cell_angle_beta 114.63
_cell_angle_gamma 104.32
_space_group_name_H-M_alt 'P -1'
_space_group_IT_number 2
loop_
_space_group_symop_operation_xyz
'x,y,z'
'-x,-y,-z'
loop_
_atom_site_label
_atom_site_fract_x
_atom_site_fract_y
_atom_site_fract_z
_atom_site_occupancy
Cd1 0.016 0.330 0.126 1
Hg1 0.000 0.500 0.500 1
Bi1 0.481 0.736 0.280 1
Pb1 0.053 0.918 0.303 1
Pb2 0.493 0.220 0.168 1
```



What did the first record say?
Simulated XRD peak list
Compound: CdHg2BiPb
Radiation: Cu Kα (λ = 1.5418 Å)
Structure: a crystal structure in Alexandria, relaxed with GGA-PBE
No peak broadening, texture or thermal motion is included.

Main lines, in order of falling intensity (5 to 70 degrees two-theta):
(hkl)  d (Å)  I/Imax
2 0 2  2.798  100
2 1 -2  2.501  51
1 1 1  2.890  51
1 1 -2  2.754  33
2 0 -3  2.972  29
2 2 2  1.445  28
1 0 -4  2.482  26
0 1 4  1.947  21
2 1 1  2.436  20
0 1 1  3.181  18

Structural model:
```
data_CdHg2BiPb
_chemical_formula_sum 'Cd2 Hg4 Bi2 Pb2'
_cell_length_a 8.817
_cell_length_b 3.375
_cell_length_c 9.929
_cell_angle_alpha 90.00
_cell_angle_beta 106.26
_cell_angle_gamma 90.00
_space_group_name_H-M_alt 'P 1 21/m 1'
_space_group_IT_number 11
loop_
_space_group_symop_operation_xyz
'x,y,z'
'-x,-y,-z'
'-x,y+1/2,-z'
'x,-y+1/2,z'
loop_
_atom_site_label
_atom_site_fract_x
_atom_site_fract_y
_atom_site_fract_z
_atom_site_occupancy
Cd1 0.212 0.250 0.494 1
Hg1 0.044 0.250 0.716 1
Hg2 0.430 0.750 0.355 1
Bi1 0.169 0.750 0.073 1
Pb1 0.384 0.750 0.850 1
```